This entry pairs a crystal structure of NdThTeRu with its computed XRD peak list. Radiation: Cu Kα, 1.54184 Å. Structure: a DFT-relaxed cell (PBE, Alexandria).
No peak broadening, texture or thermal motion is included.

Structure:
a b c (Å): 8.0289 8.0289 8.0289
angles (deg): 30.11 30.11 30.11
Sites, in units of the cell vectors:
Nd  0.0000  0.0000  0.0000
Th  0.8030  0.8030  0.8030
Te  0.2365  0.2365  0.2365
Ru  0.4098  0.4098  0.4098

Principal peaks in the range 2θ from 10° to 90°, in order of rising 2θ:
| 2theta | I_rel |
| --- | --- |
| 11.55 | 16 |
| 24.95 | 12 |
| 25.85 | 32 |
| 29.20 | 29 |
| 31.50 | 100 |
| 37.00 | 24 |
| 43.38 | 50 |
| 46.86 | 20 |
| 54.59 | 21 |
| 72.17 | 19 |